The following is a calculated PXRD pattern of Pm5Y2Th. It was derived from a PBE-relaxed structure, using Cu Kα, 1.54184 Å.
Intensities are scaled so that the largest is 100.

Top 10 peaks for 15 to 90 degrees two-theta, sorted by position:
index	two_theta	I (rel.)
0 8 0	28.22	23
0 0 2	30.43	26
2 4 1	32.14	100
0 8 2	41.98	16
2 12 0	49.91	13
4 0 0	50.02	6
2 4 3	55.17	22
4 0 -2	59.61	19
4 8 1	60.69	11
4 16 1	82.26	9

Crystal structure
```
data_Pm5Y2Th
_symmetry_space_group_name_H-M 'C 1 2/c 1'
_symmetry_Int_Tables_number 15
_symmetry_space_group_name_Hall '-C 2yc'
_cell_length_a 7.2942
_cell_length_b 25.3327
_cell_length_c 5.8748
_cell_angle_alpha 90.00
_cell_angle_beta 90.02
_cell_angle_gamma 90.00
loop_
_atom_site_label
_atom_site_fract_x
_atom_site_fract_y
_atom_site_fract_z
_atom_site_occupancy
Pm1 0.0000 0.2103 0.2500 1
Pm2 0.2417 0.0804 0.2499 1
Pm3 0.2474 0.1655 0.7503 1
Y1 0.0000 0.2941 0.7500 1
Y2 0.0000 0.4570 0.2500 1
Th1 0.0000 0.0399 0.7500 1
```

=====

The following is a calculated PXRD pattern of CaY2Tl. It was derived from a PBE-relaxed structure, using Cu Kα, 1.54184 Å.
Intensities are scaled so that the largest is 100.

Top 10 peaks for 15 to 90 degrees two-theta, sorted by position:
index	two_theta	I (rel.)
0 1 0	18.08	24
1 1 0	30.72	100
0 1 2	31.56	92
1 1 1	33.38	16
1 0 2	35.85	65
0 2 0	36.64	31
1 2 2	52.19	44
2 1 2	60.77	27
1 3 0	62.27	37
2 2 0	63.97	14

Crystal structure
```
data_CaY2Tl
_symmetry_space_group_name_H-M 'P m m 2'
_symmetry_Int_Tables_number 25
_symmetry_space_group_name_Hall 'P 2 -2'
_cell_length_a 3.6148
_cell_length_b 4.9057
_cell_length_c 6.9477
_cell_angle_alpha 90.00
_cell_angle_beta 90.00
_cell_angle_gamma 90.00
loop_
_atom_site_label
_atom_site_fract_x
_atom_site_fract_y
_atom_site_fract_z
_atom_site_occupancy
Ca1 0.0000 0.0000 0.0000 1
Y1 0.0000 0.0000 0.4826 1
Y2 0.5000 0.5000 0.7241 1
Tl1 0.5000 0.5000 0.2458 1
```

=====

The following is a calculated PXRD pattern of Sm2Be4AlSi3. It was derived from a PBE-relaxed structure, using Cu Kα, 1.54184 Å.
Intensities are scaled so that the largest is 100.

Top 10 peaks for 15 to 90 degrees two-theta, sorted by position:
index	two_theta	I (rel.)
0 0 2	18.19	43
1 0 1	24.34	100
1 1 0	32.09	37
1 0 3	35.79	72
1 1 2	37.13	76
2 0 0	46.02	28
1 0 5	52.32	25
2 1 1	52.73	26
2 1 3	59.63	32
2 1 5	72.20	19

Crystal structure
```
data_Sm2Be4AlSi3
_symmetry_space_group_name_H-M 'P -4 m 2'
_symmetry_Int_Tables_number 115
_symmetry_space_group_name_Hall 'P -4 -2'
_cell_length_a 3.9447
_cell_length_b 3.9447
_cell_length_c 9.7545
_cell_angle_alpha 90.00
_cell_angle_beta 90.00
_cell_angle_gamma 90.00
loop_
_atom_site_label
_atom_site_fract_x
_atom_site_fract_y
_atom_site_fract_z
_atom_site_occupancy
Sm1 0.0000 0.5000 0.2443 1
Be1 0.0000 0.0000 0.0000 1
Be2 0.0000 0.5000 0.6387 1
Be3 0.5000 0.5000 0.0000 1
Al1 0.0000 0.0000 0.5000 1
Si1 0.0000 0.5000 0.8720 1
Si2 0.5000 0.5000 0.5000 1
```

=====

Repeat the second record exactly.
The following is a calculated PXRD pattern of CaY2Tl. It was derived from a PBE-relaxed structure, using Cu Kα, 1.54184 Å.
Intensities are scaled so that the largest is 100.

Top 10 peaks for 15 to 90 degrees two-theta, sorted by position:
index	two_theta	I (rel.)
0 1 0	18.08	24
1 1 0	30.72	100
0 1 2	31.56	92
1 1 1	33.38	16
1 0 2	35.85	65
0 2 0	36.64	31
1 2 2	52.19	44
2 1 2	60.77	27
1 3 0	62.27	37
2 2 0	63.97	14

Crystal structure
```
data_CaY2Tl
_symmetry_space_group_name_H-M 'P m m 2'
_symmetry_Int_Tables_number 25
_symmetry_space_group_name_Hall 'P 2 -2'
_cell_length_a 3.6148
_cell_length_b 4.9057
_cell_length_c 6.9477
_cell_angle_alpha 90.00
_cell_angle_beta 90.00
_cell_angle_gamma 90.00
loop_
_atom_site_label
_atom_site_fract_x
_atom_site_fract_y
_atom_site_fract_z
_atom_site_occupancy
Ca1 0.0000 0.0000 0.0000 1
Y1 0.0000 0.0000 0.4826 1
Y2 0.5000 0.5000 0.7241 1
Tl1 0.5000 0.5000 0.2458 1
```